Record 1
Starting from a DFT-relaxed cell (PBE, the Materials Project), the XRD peak list of Mg3Al2N4 was simulated for Cu Kα.

Crystal structure
```
data_Mg3Al2N4
_symmetry_space_group_name_H-M 'C 1 2/c 1'
_symmetry_Int_Tables_number 15
_symmetry_space_group_name_Hall '-C 2yc'
_cell_length_a 10.0180
_cell_length_b 7.2707
_cell_length_c 5.4904
_cell_angle_alpha 90.00
_cell_angle_beta 90.32
_cell_angle_gamma 90.00
loop_
_atom_site_label
_atom_site_type_symbol
_atom_site_fract_x
_atom_site_fract_y
_atom_site_fract_z
_atom_site_occupancy
Mg1 Mg 0.0000 0.0979 0.2500 1
Mg2 Mg 0.1124 0.3753 0.0313 1
Al1 Al 0.1898 0.1239 0.6066 1
N1 N 0.1203 0.3367 0.4338 1
N2 N 0.1414 0.0913 0.9331 1
```

Largest 8 diffraction maxima, in order of rising 2θ, 2θ = 5–70°:
h k l  2θ/deg  intensity
3 1 1  33.82  62
2 2 -1  34.54  100
1 1 2  36.14  51
5 1 0  47.04  57
4 0 -2  49.11  50
3 3 1  49.39  61
0 4 0  50.19  58
0 2 3  56.28  65

Record 2
Starting from a DFT-relaxed cell (PBE, the Materials Project), the XRD peak list of LiSi2Ag8O8 was simulated for Cu Kα.

Crystal structure
```
data_LiSi2Ag8O8
_symmetry_space_group_name_H-M 'P 1'
_symmetry_Int_Tables_number 1
_symmetry_space_group_name_Hall 'P 1'
_cell_length_a 5.0634
_cell_length_b 6.9749
_cell_length_c 8.0967
_cell_angle_alpha 86.41
_cell_angle_beta 87.47
_cell_angle_gamma 88.31
loop_
_atom_site_label
_atom_site_type_symbol
_atom_site_fract_x
_atom_site_fract_y
_atom_site_fract_z
_atom_site_occupancy
Li1 Li 0.0000 0.0000 0.0000 1
Si1 Si 0.0701 0.7983 0.2668 1
Si2 Si 0.5872 0.2671 0.7883 1
Ag1 Ag 0.0388 0.9351 0.6407 1
Ag2 Ag 0.0703 0.5790 0.8783 1
Ag3 Ag 0.1082 0.4004 0.5078 1
Ag4 Ag 0.1785 0.2567 0.1988 1
Ag5 Ag 0.5403 0.6610 0.5577 1
Ag6 Ag 0.5498 0.8019 0.8809 1
Ag7 Ag 0.6211 0.1197 0.4166 1
Ag8 Ag 0.6514 0.4766 0.1408 1
O1 O 0.2148 0.7735 0.0815 1
O2 O 0.2694 0.8433 0.4153 1
O3 O 0.3934 0.2056 0.6405 1
O4 O 0.4117 0.3286 0.9556 1
O5 O 0.7657 0.4551 0.7181 1
O6 O 0.7889 0.0821 0.8325 1
O7 O 0.8850 0.9979 0.2303 1
O8 O 0.8936 0.6054 0.3250 1
```

Largest 8 diffraction maxima, in order of rising 2θ, 2θ = 5–70°:
h k l  2θ/deg  intensity
0 1 1  16.30  69
1 2 0  30.80  32
-1 1 2  31.31  81
1 2 -1  33.59  70
1 -2 1  33.83  100
2 0 0  35.51  46
0 1 -3  36.53  29
1 2 2  36.76  51

Record 3
Starting from a DFT-relaxed cell (PBE, the Materials Project), the XRD peak list of RbSr2MgNb3O10 was simulated for Cu Kα.

Crystal structure
```
data_RbSr2MgNb3O10
_symmetry_space_group_name_H-M 'P 4 m m'
_symmetry_Int_Tables_number 99
_symmetry_space_group_name_Hall 'P 4 -2'
_cell_length_a 4.0663
_cell_length_b 4.0663
_cell_length_c 16.1013
_cell_angle_alpha 90.00
_cell_angle_beta 90.00
_cell_angle_gamma 90.00
loop_
_atom_site_label
_atom_site_type_symbol
_atom_site_fract_x
_atom_site_fract_y
_atom_site_fract_z
_atom_site_occupancy
Rb1 Rb 0.0000 0.0000 0.0000 1
Sr1 Sr 0.0000 0.0000 0.4555 1
Sr2 Sr 0.0000 0.0000 0.7145 1
Mg1 Mg 0.0000 0.0000 0.2394 1
Nb1 Nb 0.5000 0.5000 0.3055 1
Nb2 Nb 0.5000 0.5000 0.5714 1
Nb3 Nb 0.5000 0.5000 0.8383 1
O1 O 0.0000 0.5000 0.3107 1
O2 O 0.0000 0.5000 0.5649 1
O3 O 0.0000 0.5000 0.8168 1
O4 O 0.5000 0.5000 0.1887 1
O5 O 0.5000 0.5000 0.4409 1
O6 O 0.5000 0.5000 0.6927 1
O7 O 0.5000 0.5000 0.9516 1
```

Largest 8 diffraction maxima, in order of rising 2θ, 2θ = 5–70°:
h k l  2θ/deg  intensity
0 0 1  5.49  100
1 0 3  27.52  42
1 1 0  31.10  58
1 0 4  31.27  74
2 0 0  44.56  38
1 1 7  50.83  15
2 1 3  53.18  13
2 1 4  55.44  30

Record 4
Starting from a DFT-relaxed cell (PBE, the Materials Project), the XRD peak list of Pr4Se3N2 was simulated for Cu Kα.

Crystal structure
```
data_Pr4Se3N2
_symmetry_space_group_name_H-M 'C 1 2/c 1'
_symmetry_Int_Tables_number 15
_symmetry_space_group_name_Hall '-C 2yc'
_cell_length_a 13.2811
_cell_length_b 10.3128
_cell_length_c 6.5568
_cell_angle_alpha 90.00
_cell_angle_beta 90.23
_cell_angle_gamma 90.00
loop_
_atom_site_label
_atom_site_type_symbol
_atom_site_fract_x
_atom_site_fract_y
_atom_site_fract_z
_atom_site_occupancy
Pr1 Pr 0.1265 0.1834 0.4699 1
Pr2 Pr 0.1648 0.4205 0.9278 1
Se1 Se 0.0000 0.4027 0.2500 1
Se2 Se 0.1157 0.1314 0.9649 1
N1 N 0.2055 0.3759 0.5852 1
```

Largest 8 diffraction maxima, in order of rising 2θ, 2θ = 5–70°:
h k l  2θ/deg  intensity
2 2 1  25.77  95
4 0 0  26.83  100
0 0 2  27.20  66
1 3 -1  30.11  81
2 0 -2  30.37  57
0 4 0  34.86  83
1 3 2  38.55  56
4 0 2  38.67  51

Record 5
Starting from a DFT-relaxed cell (PBE, the Materials Project), the XRD peak list of NpO was simulated for Cu Kα.

Crystal structure
```
data_NpO
_symmetry_space_group_name_H-M 'F m -3 m'
_symmetry_Int_Tables_number 225
_symmetry_space_group_name_Hall '-F 4 2 3'
_cell_length_a 4.8581
_cell_length_b 4.8581
_cell_length_c 4.8581
_cell_angle_alpha 90.00
_cell_angle_beta 90.00
_cell_angle_gamma 90.00
loop_
_atom_site_label
_atom_site_type_symbol
_atom_site_fract_x
_atom_site_fract_y
_atom_site_fract_z
_atom_site_occupancy
Np1 Np 0.0000 0.0000 0.0000 1
O1 O 0.0000 0.0000 0.5000 1
```

Largest 5 diffraction maxima, in order of rising 2θ, 2θ = 5–70°:
h k l  2θ/deg  intensity
1 1 1  31.91  100
2 0 0  37.01  68
2 2 0  53.34  48
3 1 1  63.51  46
2 2 2  66.69  16

Record 6
Starting from a DFT-relaxed cell (PBE, the Materials Project), the XRD peak list of NdSb2 was simulated for Cu Kα.

Crystal structure
```
data_NdSb2
_symmetry_space_group_name_H-M 'C m c e'
_symmetry_Int_Tables_number 64
_symmetry_space_group_name_Hall '-C 2ac 2'
_cell_length_a 6.3020
_cell_length_b 6.2286
_cell_length_c 18.1027
_cell_angle_alpha 90.00
_cell_angle_beta 90.00
_cell_angle_gamma 90.00
loop_
_atom_site_label
_atom_site_type_symbol
_atom_site_fract_x
_atom_site_fract_y
_atom_site_fract_z
_atom_site_occupancy
Nd1 Nd 0.0000 0.1363 0.1109 1
Sb1 Sb 0.0000 0.1330 0.4362 1
Sb2 Sb 0.2500 0.1237 0.7500 1
```

Largest 8 diffraction maxima, in order of rising 2θ, 2θ = 5–70°:
h k l  2θ/deg  intensity
0 0 6  29.61  40
2 0 2  30.03  51
0 2 3  32.35  100
2 0 4  34.69  44
1 1 6  36.02  28
2 2 1  41.05  55
2 2 5  48.16  20
4 2 3  68.53  22